Diffraction record for Sc3CdRh. The X-ray powder pattern is simulated, not measured: it uses the GGA-PBE geometry in Alexandria and Cu Kα, 1.54184 Å.
Intensities are scaled so that the largest is 100.

Principal peaks in the range 2θ from 15° to 90°, sorted by position:
2θ/deg	I (rel.)
22.69	20
22.83	50
37.61	100
39.92	29
40.18	14
46.63	13

Cell and atoms:
```
data_Sc3CdRh
_chemical_formula_sum 'Sc6 Cd2 Rh2'
_cell_length_a 9.034
_cell_length_b 8.403
_cell_length_c 5.414
_cell_angle_alpha 78.39
_cell_angle_beta 65.66
_cell_angle_gamma 35.94
_symmetry_space_group_name_H-M 'P 1'
_symmetry_Int_Tables_number 1
loop_
_symmetry_equiv_pos_as_xyz
'x,y,z'
loop_
_atom_site_label
_atom_site_type_symbol
_atom_site_fract_x
_atom_site_fract_y
_atom_site_fract_z
Sc1 Sc 0.199 0.581 0.419
Sc2 Sc 0.200 0.200 0.800
Sc3 Sc 0.419 0.801 0.199
Sc4 Sc 0.581 0.199 0.801
Sc5 Sc 0.800 0.800 0.200
Sc6 Sc 0.801 0.419 0.581
Cd1 Cd 0.218 0.782 0.782
Cd2 Cd 0.782 0.218 0.218
Rh1 Rh 0.250 0.250 0.250
Rh2 Rh 0.750 0.750 0.750
```